[1]
This entry pairs a crystal structure of Pr2Y3Ag2 with its simulated powder diffraction line list. Radiation: a wavelength of 1.5418 Å. Structure: a cell relaxed with GGA-PBE.

The 10 most intense peaks (2θ = 5–70°), by angle:
d (Å), 2θ (°), intensity
4.646, 19.1, 8
3.344, 26.7, 7
2.748, 32.6, 85
2.736, 32.7, 100
2.505, 35.9, 8
1.939, 46.9, 30
1.589, 58.1, 7
1.582, 58.3, 31
1.579, 58.4, 18
1.368, 68.6, 11

Crystal structure
Cell: 5.471 5.471 8.481 Å, 108.86 108.86 60.01°
Element x y z (fractional)
Pr  0.076  0.076  0.229
Pr  0.924  0.924  0.771
Y  0.339  0.339  0.016
Y  0.500  0.500  0.500
Y  0.661  0.661  0.984
Ag  0.212  0.212  0.638
Ag  0.788  0.788  0.362


[2]
This entry pairs a crystal structure of Pr3Y2Ag2 with its simulated powder diffraction line list. Radiation: a wavelength of 1.5418 Å. Structure: a cell relaxed with GGA-PBE.

The 10 most intense peaks (2θ = 5–70°), by angle:
d (Å), 2θ (°), intensity
2.968, 30.1, 73
2.932, 30.5, 59
2.877, 31.1, 100
2.754, 32.5, 46
2.700, 33.2, 42
2.691, 33.3, 62
2.613, 34.3, 78
2.398, 37.5, 42
1.918, 47.4, 34
1.562, 59.1, 33

Crystal structure
Cell: 6.811 6.811 9.393 Å, 113.66 113.66 32.71°
Element x y z (fractional)
Pr  0.000  0.000  0.000
Pr  0.109  0.109  0.444
Pr  0.891  0.891  0.556
Y  0.350  0.350  0.186
Y  0.650  0.650  0.814
Ag  0.324  0.324  0.780
Ag  0.676  0.676  0.220


[3]
This entry pairs a crystal structure of PrZn2Ag10 with its simulated powder diffraction line list. Radiation: a wavelength of 1.5418 Å. Structure: a cell relaxed with GGA-PBE.

The 10 most intense peaks (2θ = 5–70°), by angle:
d (Å), 2θ (°), intensity
2.742, 32.7, 42
2.710, 33.1, 20
2.384, 37.7, 100
2.372, 37.9, 43
2.356, 38.2, 54
2.129, 42.5, 24
2.125, 42.5, 11
2.115, 42.8, 24
2.110, 42.9, 26
1.371, 68.4, 34

Crystal structure
Cell: 9.537 7.287 7.249 Å, 82.01 49.17 48.82°
Element x y z (fractional)
Pr  0.000  0.000  0.000
Zn  0.000  0.500  0.000
Zn  0.500  0.000  0.500
Ag  0.000  0.000  0.500
Ag  0.006  0.349  0.651
Ag  0.282  0.494  0.506
Ag  0.349  0.006  0.994
Ag  0.494  0.282  0.718
Ag  0.500  0.500  0.000
Ag  0.506  0.718  0.282
Ag  0.651  0.994  0.006
Ag  0.718  0.506  0.494
Ag  0.994  0.651  0.349


[4]
This entry pairs a crystal structure of PrZn2Ag9 with its simulated powder diffraction line list. Radiation: a wavelength of 1.5418 Å. Structure: a cell relaxed with GGA-PBE.

The 10 most intense peaks (2θ = 5–70°), by angle:
d (Å), 2θ (°), intensity
2.872, 31.1, 22
2.542, 35.3, 100
2.522, 35.6, 70
2.362, 38.1, 29
2.225, 40.5, 18
2.178, 41.5, 21
2.154, 41.9, 80
2.070, 43.7, 28
1.712, 53.5, 10
1.460, 63.7, 29

Crystal structure
Cell: 8.761 8.761 8.761 Å, 99.85 99.85 131.15°
Element x y z (fractional)
Pr  0.375  0.625  0.750
Pr  0.625  0.375  0.250
Zn  0.000  0.000  0.000
Zn  0.000  0.000  0.500
Zn  0.000  0.500  0.000
Zn  0.500  0.000  0.500
Ag  0.125  0.875  0.250
Ag  0.132  0.559  0.329
Ag  0.132  0.803  0.573
Ag  0.197  0.270  0.329
Ag  0.197  0.868  0.927
Ag  0.270  0.197  0.829
Ag  0.270  0.441  0.073
Ag  0.441  0.270  0.573
Ag  0.441  0.868  0.171
Ag  0.559  0.132  0.829
Ag  0.559  0.730  0.427
Ag  0.730  0.559  0.927
Ag  0.730  0.803  0.171
Ag  0.803  0.132  0.073
Ag  0.803  0.730  0.671
Ag  0.868  0.197  0.427
Ag  0.868  0.441  0.671
Ag  0.875  0.125  0.750


[5]
This entry pairs a crystal structure of PrZn10Ag2 with its simulated powder diffraction line list. Radiation: a wavelength of 1.5418 Å. Structure: a cell relaxed with GGA-PBE.

The 10 most intense peaks (2θ = 5–70°), by angle:
d (Å), 2θ (°), intensity
3.222, 27.7, 13
2.631, 34.1, 39
2.332, 38.6, 87
2.291, 39.3, 41
2.253, 40.0, 100
2.081, 43.5, 25
2.061, 43.9, 22
2.033, 44.6, 13
1.998, 45.4, 11
1.611, 57.2, 11

Crystal structure
Cell: 9.015 6.996 6.868 Å, 81.11 50.06 48.83°
Element x y z (fractional)
Pr  0.000  0.000  0.000
Zn  0.000  0.000  0.500
Zn  0.005  0.644  0.356
Zn  0.283  0.504  0.496
Zn  0.356  0.995  0.005
Zn  0.496  0.717  0.283
Zn  0.500  0.500  0.000
Zn  0.504  0.283  0.717
Zn  0.644  0.005  0.995
Zn  0.717  0.496  0.504
Zn  0.995  0.356  0.644
Ag  0.000  0.500  0.000
Ag  0.500  0.000  0.500


[6]
This entry pairs a crystal structure of PrZn9Ag2 with its simulated powder diffraction line list. Radiation: a wavelength of 1.5418 Å. Structure: a cell relaxed with GGA-PBE.

The 10 most intense peaks (2θ = 5–70°), by angle:
d (Å), 2θ (°), intensity
4.428, 20.1, 19
2.899, 30.8, 7
2.540, 35.3, 59
2.411, 37.3, 57
2.214, 40.8, 100
2.117, 42.7, 16
1.972, 46.0, 31
1.631, 56.4, 14
1.550, 59.7, 11
1.473, 63.1, 18

Crystal structure
Cell: 8.856 8.856 3.100 Å, 90.00 90.00 120.00°
Element x y z (fractional)
Pr  0.000  0.000  0.000
Zn  0.000  0.500  0.000
Zn  0.183  0.366  0.500
Zn  0.183  0.817  0.500
Zn  0.366  0.183  0.500
Zn  0.500  0.000  0.000
Zn  0.500  0.500  0.000
Zn  0.634  0.817  0.500
Zn  0.817  0.183  0.500
Zn  0.817  0.634  0.500
Ag  0.333  0.667  0.000
Ag  0.667  0.333  0.000


[7]
This entry pairs a crystal structure of PrZn9Ag2 with its simulated powder diffraction line list. Radiation: a wavelength of 1.5418 Å. Structure: a cell relaxed with GGA-PBE.

The 10 most intense peaks (2θ = 5–70°), by angle:
d (Å), 2θ (°), intensity
2.821, 31.7, 27
2.641, 33.9, 43
2.586, 34.7, 30
2.277, 39.6, 38
2.233, 40.4, 100
2.091, 43.3, 15
2.081, 43.5, 25
2.041, 44.4, 13
1.432, 65.1, 23
1.413, 66.1, 13

Crystal structure
Cell: 8.901 8.901 8.901 Å, 34.52 34.52 34.52°
Element x y z (fractional)
Pr  0.000  0.000  0.000
Zn  0.081  0.591  0.591
Zn  0.334  0.334  0.334
Zn  0.409  0.409  0.919
Zn  0.409  0.919  0.409
Zn  0.500  0.500  0.500
Zn  0.591  0.081  0.591
Zn  0.591  0.591  0.081
Zn  0.666  0.666  0.666
Zn  0.919  0.409  0.409
Ag  0.138  0.138  0.138
Ag  0.862  0.862  0.862


[8]
This entry pairs a crystal structure of Pr3Zn6Ag5 with its simulated powder diffraction line list. Radiation: a wavelength of 1.5418 Å. Structure: a cell relaxed with GGA-PBE.

The 10 most intense peaks (2θ = 5–70°), by angle:
d (Å), 2θ (°), intensity
3.182, 28.0, 66
2.743, 32.7, 40
2.642, 33.9, 90
2.591, 34.6, 100
2.583, 34.7, 44
2.416, 37.2, 50
2.259, 39.9, 69
2.242, 40.2, 32
2.074, 43.6, 31
2.051, 44.2, 27

Crystal structure
Cell: 8.532 8.532 8.532 Å, 149.30 112.52 75.95°
Element x y z (fractional)
Pr  0.000  0.000  0.000
Pr  0.298  0.298  0.000
Pr  0.702  0.702  0.000
Zn  0.158  0.870  0.289
Zn  0.313  0.500  0.813
Zn  0.419  0.130  0.289
Zn  0.581  0.870  0.711
Zn  0.687  0.500  0.187
Zn  0.842  0.130  0.711
Ag  0.015  0.663  0.352
Ag  0.312  0.663  0.648
Ag  0.500  0.000  0.500
Ag  0.688  0.337  0.352
Ag  0.985  0.337  0.648


[9]
This entry pairs a crystal structure of PrZn7Ag5 with its simulated powder diffraction line list. Radiation: a wavelength of 1.5418 Å. Structure: a cell relaxed with GGA-PBE.

The 10 most intense peaks (2θ = 5–70°), by angle:
d (Å), 2θ (°), intensity
3.282, 27.2, 28
2.668, 33.6, 28
2.358, 38.2, 65
2.344, 38.4, 100
2.333, 38.6, 50
2.318, 38.8, 59
2.294, 39.3, 37
2.097, 43.1, 81
2.086, 43.4, 20
2.061, 43.9, 27

Crystal structure
Cell: 7.101 7.101 7.101 Å, 134.81 97.49 99.50°
Element x y z (fractional)
Pr  0.000  0.000  0.000
Zn  0.212  0.492  0.720
Zn  0.337  0.983  0.354
Zn  0.350  0.350  0.000
Zn  0.629  0.983  0.646
Zn  0.639  0.639  0.000
Zn  0.771  0.492  0.280
Zn  0.805  0.305  0.500
Ag  0.209  0.709  0.500
Ag  0.500  0.486  0.510
Ag  0.500  0.990  0.014
Ag  0.976  0.486  0.986
Ag  0.976  0.990  0.490


[10]
This entry pairs a crystal structure of Pr4Zn3Ag with its simulated powder diffraction line list. Radiation: a wavelength of 1.5418 Å. Structure: a cell relaxed with GGA-PBE.

The 10 most intense peaks (2θ = 5–70°), by angle:
d (Å), 2θ (°), intensity
3.742, 23.8, 9
3.710, 24.0, 4
2.646, 33.9, 51
2.635, 34.0, 100
2.154, 41.9, 4
1.871, 48.7, 18
1.855, 49.1, 9
1.674, 54.9, 2
1.526, 60.7, 37
1.519, 61.0, 17

Crystal structure
Cell: 3.742 3.742 14.839 Å, 90.00 90.00 90.00°
Element x y z (fractional)
Pr  0.000  0.000  0.124
Pr  0.000  0.000  0.368
Pr  0.000  0.000  0.632
Pr  0.000  0.000  0.876
Zn  0.500  0.500  0.000
Zn  0.500  0.500  0.245
Zn  0.500  0.500  0.755
Ag  0.500  0.500  0.500


[11]
This entry pairs a crystal structure of Ag5Pt7 with its simulated powder diffraction line list. Radiation: a wavelength of 1.5418 Å. Structure: a cell relaxed with GGA-PBE.

The 10 most intense peaks (2θ = 5–70°), by angle:
d (Å), 2θ (°), intensity
7.346, 12.0, 12
2.343, 38.4, 100
2.318, 38.8, 48
2.312, 39.0, 48
2.021, 44.8, 32
2.014, 45.0, 64
1.440, 64.7, 11
1.427, 65.4, 31
1.422, 65.7, 10
1.415, 66.0, 10

Crystal structure
Cell: 4.929 5.687 7.586 Å, 79.82 77.30 72.97°
Element x y z (fractional)
Ag  0.000  0.000  0.000
Ag  0.001  0.499  0.000
Ag  0.498  0.833  0.169
Ag  0.505  0.667  0.834
Ag  0.991  0.166  0.332
Pt  0.003  0.837  0.662
Pt  0.014  0.330  0.665
Pt  0.486  0.334  0.170
Pt  0.491  0.501  0.502
Pt  0.502  0.998  0.505
Pt  0.514  0.170  0.828
Pt  0.993  0.662  0.344


[12]
This entry pairs a crystal structure of Ag17Pt12 with its simulated powder diffraction line list. Radiation: a wavelength of 1.5418 Å. Structure: a cell relaxed with GGA-PBE.

The 10 most intense peaks (2θ = 5–70°), by angle:
d (Å), 2θ (°), intensity
4.092, 21.7, 18
2.506, 35.8, 8
2.363, 38.1, 100
2.137, 42.3, 53
2.046, 44.3, 12
1.966, 46.2, 26
1.511, 61.3, 4
1.447, 64.4, 6
1.418, 65.9, 15
1.364, 68.8, 27

Crystal structure
Cell: 8.681 8.681 8.681 Å, 109.47 109.47 109.47°
Element x y z (fractional)
Ag  0.000  0.000  0.000
Ag  0.000  0.000  0.357
Ag  0.000  0.315  0.591
Ag  0.000  0.357  0.000
Ag  0.000  0.591  0.315
Ag  0.276  0.685  0.685
Ag  0.315  0.000  0.591
Ag  0.315  0.591  0.000
Ag  0.357  0.000  0.000
Ag  0.409  0.409  0.724
Ag  0.409  0.724  0.409
Ag  0.591  0.000  0.315
Ag  0.591  0.315  0.000
Ag  0.643  0.643  0.643
Ag  0.685  0.276  0.685
Ag  0.685  0.685  0.276
Ag  0.724  0.409  0.409
Pt  0.000  0.630  0.813
Pt  0.000  0.813  0.630
Pt  0.183  0.370  0.370
Pt  0.187  0.187  0.817
Pt  0.187  0.817  0.187
Pt  0.370  0.183  0.370
Pt  0.370  0.370  0.183
Pt  0.630  0.000  0.813
Pt  0.630  0.813  0.000
Pt  0.813  0.000  0.630
Pt  0.813  0.630  0.000
Pt  0.817  0.187  0.187